No. 1
# AlOsI7
Simulated XRD peak list, Cu Kα (λ = 1.5418 Å). Input: a crystal structure in OQMD, relaxed with GGA-PBE.
Peak positions follow from Bragg's law for the DFT cell and can differ from measured ones.

abc: 7.723 6.766 16.816
angles: 90.00 100.04 90.00
Fractional coordinates of all 18 atoms:
Al 0.000 0.013 0.000
Al 0.000 0.987 0.500
Os 0.239 0.418 0.130
Os 0.239 0.582 0.630
I 0.008 0.370 0.502
I 0.008 0.630 0.002
I 0.139 0.357 0.740
I 0.139 0.643 0.240
I 0.305 0.180 0.002
I 0.305 0.820 0.502
I 0.430 0.185 0.233
I 0.430 0.815 0.733
I 0.506 0.356 0.610
I 0.506 0.644 0.110
I 0.778 0.114 0.880
I 0.778 0.886 0.380
I 0.944 0.179 0.133
I 0.944 0.821 0.633

Most intense lines, 2θ = 5–70°, most intense first:
10.69 deg, I = 1000, (0 0 2); 30.51 deg, I = 673, (1 1 -5); 25.23 deg, I = 672, (1 1 3); 14.38 deg, I = 642, (1 0 -2); 26.61 deg, I = 632, (2 1 -1); 11.64 deg, I = 608, (1 0 0); 26.90 deg, I = 452, (0 2 1); 16.92 deg, I = 442, (0 1 2); 17.54 deg, I = 366, (1 1 0); 29.43 deg, I = 319, (1 1 4)


No. 2
# PrYAl2I2
Simulated XRD peak list, Cu Kα (λ = 1.5418 Å). Input: a crystal structure in OQMD, relaxed with GGA-PBE.
Peak positions follow from Bragg's law for the DFT cell and can differ from measured ones.

abc: 4.345 4.345 12.385
angles: 90.00 90.00 120.00
Fractional coordinates of all 6 atoms:
Pr 0.000 0.000 0.000
Y 0.000 0.000 0.339
Al 0.333 0.667 0.189
Al 0.667 0.333 0.160
I 0.333 0.667 0.832
I 0.667 0.333 0.495

Most intense lines, 2θ = 5–70°, most intense first:
32.19 deg, I = 1000, (1 0 3); 24.73 deg, I = 778, (1 0 1); 41.57 deg, I = 481, (1 1 0); 27.74 deg, I = 476, (1 0 2); 62.00 deg, I = 349, (1 1 6); 14.30 deg, I = 321, (0 0 2); 53.52 deg, I = 232, (0 2 3); 43.75 deg, I = 210, (0 1 5); 69.96 deg, I = 206, (2 1 3); 37.62 deg, I = 165, (0 1 4)


No. 3
# AlWI7
Simulated XRD peak list, Cu Kα (λ = 1.5418 Å). Input: a crystal structure in OQMD, relaxed with GGA-PBE.
Peak positions follow from Bragg's law for the DFT cell and can differ from measured ones.

abc: 7.905 6.796 17.096
angles: 90.00 98.85 90.00
Fractional coordinates of all 18 atoms:
Al 0.000 0.014 0.000
Al 0.000 0.986 0.500
W 0.243 0.422 0.131
W 0.243 0.578 0.631
I 0.010 0.367 0.503
I 0.010 0.633 0.003
I 0.135 0.352 0.739
I 0.135 0.648 0.239
I 0.299 0.175 0.998
I 0.299 0.825 0.498
I 0.424 0.174 0.231
I 0.424 0.826 0.731
I 0.503 0.354 0.605
I 0.503 0.646 0.105
I 0.783 0.110 0.883
I 0.783 0.890 0.383
I 0.940 0.175 0.131
I 0.940 0.825 0.631

Most intense lines, 2θ = 5–70°, most intense first:
10.47 deg, I = 1000, (0 0 2); 26.14 deg, I = 680, (2 1 -1); 11.33 deg, I = 644, (1 0 0); 24.64 deg, I = 622, (1 1 3); 14.21 deg, I = 599, (1 0 -2); 30.17 deg, I = 537, (1 1 -5); 16.74 deg, I = 428, (0 1 2); 28.70 deg, I = 418, (1 1 4); 26.76 deg, I = 369, (0 2 1); 17.30 deg, I = 343, (1 1 0)


No. 4
# NdAlIn4Ir
Simulated XRD peak list, Cu Kα (λ = 1.5418 Å). Input: a crystal structure in OQMD, relaxed with GGA-PBE.
Peak positions follow from Bragg's law for the DFT cell and can differ from measured ones.

abc: 4.641 4.641 7.558
angles: 90.00 90.00 90.00
Fractional coordinates of all 7 atoms:
Nd 0.000 0.000 0.000
Al 0.500 0.500 0.000
In 0.000 0.500 0.300
In 0.000 0.500 0.700
In 0.500 0.000 0.300
In 0.500 0.000 0.700
Ir 0.000 0.000 0.500

Most intense lines, 2θ = 5–70°, most intense first:
36.25 deg, I = 1000, (1 1 2); 38.81 deg, I = 519, (2 0 0); 19.12 deg, I = 419, (1 0 0); 68.59 deg, I = 303, (3 1 2); 30.50 deg, I = 270, (1 0 2); 56.04 deg, I = 175, (2 2 0); 11.71 deg, I = 166, (0 0 1); 45.38 deg, I = 160, (1 1 3); 50.14 deg, I = 138, (2 1 2); 43.61 deg, I = 103, (2 1 0)


No. 5
# SrAlIn3Ir
Simulated XRD peak list, Cu Kα (λ = 1.5418 Å). Input: a crystal structure in OQMD, relaxed with GGA-PBE.
Peak positions follow from Bragg's law for the DFT cell and can differ from measured ones.

abc: 8.895 4.211 7.596
angles: 90.00 90.00 90.00
Fractional coordinates of all 12 atoms:
Sr 0.250 0.000 0.118
Sr 0.750 0.000 0.882
Al 0.250 0.500 0.478
Al 0.750 0.500 0.522
In 0.000 0.000 0.500
In 0.060 0.500 0.811
In 0.440 0.500 0.811
In 0.500 0.000 0.500
In 0.560 0.500 0.189
In 0.940 0.500 0.189
Ir 0.250 0.000 0.680
Ir 0.750 0.000 0.320

Most intense lines, 2θ = 5–70°, most intense first:
15.34 deg, I = 1000, (1 0 1); 37.77 deg, I = 899, (2 1 2); 33.33 deg, I = 811, (1 1 2); 29.20 deg, I = 574, (2 1 0); 39.00 deg, I = 562, (3 1 1); 42.95 deg, I = 492, (0 2 0); 38.52 deg, I = 421, (3 0 2); 31.54 deg, I = 383, (2 1 1); 24.16 deg, I = 377, (0 1 1); 41.02 deg, I = 357, (2 0 3)


No. 6
# TbAl4InIr
Simulated XRD peak list, Cu Kα (λ = 1.5418 Å). Input: a crystal structure in OQMD, relaxed with GGA-PBE.
Peak positions follow from Bragg's law for the DFT cell and can differ from measured ones.

abc: 4.377 4.377 7.031
angles: 90.00 90.00 90.00
Fractional coordinates of all 7 atoms:
Tb 0.000 0.000 0.000
Al 0.000 0.500 0.311
Al 0.000 0.500 0.689
Al 0.500 0.000 0.311
Al 0.500 0.000 0.689
In 0.500 0.500 0.000
Ir 0.000 0.000 0.500

Most intense lines, 2θ = 5–70°, most intense first:
38.76 deg, I = 1000, (1 1 2); 28.85 deg, I = 468, (1 1 0); 41.25 deg, I = 468, (2 0 0); 20.29 deg, I = 460, (1 0 0); 25.34 deg, I = 381, (0 0 2); 32.67 deg, I = 284, (1 0 2); 23.95 deg, I = 262, (1 0 1); 49.03 deg, I = 261, (2 0 2); 60.58 deg, I = 195, (1 1 4); 59.76 deg, I = 156, (2 2 0)


No. 7
# TmAl4InIr
Simulated XRD peak list, Cu Kα (λ = 1.5418 Å). Input: a crystal structure in OQMD, relaxed with GGA-PBE.
Peak positions follow from Bragg's law for the DFT cell and can differ from measured ones.

abc: 4.358 4.358 6.972
angles: 90.00 90.00 90.00
Fractional coordinates of all 7 atoms:
Tm 0.000 0.000 0.000
Al 0.000 0.500 0.309
Al 0.000 0.500 0.691
Al 0.500 0.000 0.309
Al 0.500 0.000 0.691
In 0.500 0.500 0.000
Ir 0.000 0.000 0.500

Most intense lines, 2θ = 5–70°, most intense first:
39.01 deg, I = 1000, (1 1 2); 20.38 deg, I = 483, (1 0 0); 28.98 deg, I = 477, (1 1 0); 41.44 deg, I = 466, (2 0 0); 25.55 deg, I = 379, (0 0 2); 32.90 deg, I = 297, (1 0 2); 49.32 deg, I = 261, (2 0 2); 24.08 deg, I = 219, (1 0 1); 61.08 deg, I = 190, (1 1 4); 60.05 deg, I = 155, (2 2 0)


No. 8
# KAl6In3Ni2
Simulated XRD peak list, Cu Kα (λ = 1.5418 Å). Input: a crystal structure in OQMD, relaxed with GGA-PBE.
Peak positions follow from Bragg's law for the DFT cell and can differ from measured ones.

abc: 8.473 8.473 4.064
angles: 90.00 90.00 120.00
Fractional coordinates of all 12 atoms:
K 0.000 0.000 0.000
Al 0.218 0.436 0.500
Al 0.218 0.782 0.500
Al 0.436 0.218 0.500
Al 0.564 0.782 0.500
Al 0.782 0.218 0.500
Al 0.782 0.564 0.500
In 0.000 0.500 0.000
In 0.500 0.000 0.000
In 0.500 0.500 0.000
Ni 0.333 0.667 0.000
Ni 0.667 0.333 0.000

Most intense lines, 2θ = 5–70°, most intense first:
12.06 deg, I = 1000, (1 0 0); 32.89 deg, I = 952, (2 0 1); 48.46 deg, I = 527, (2 2 1); 24.26 deg, I = 478, (2 0 0); 42.68 deg, I = 434, (2 2 0); 39.33 deg, I = 427, (2 1 1); 21.87 deg, I = 375, (0 0 1); 44.57 deg, I = 313, (0 0 2); 63.44 deg, I = 252, (2 2 2); 25.05 deg, I = 158, (1 0 1)